[1]
Calculated PXRD pattern
Compound: TbY2In3AgIr2
Radiation: Cu Kα X-rays
Structure: a PBE-relaxed structure

Main lines, sorted by position (10° ≤ 2θ ≤ 90°):
23.05 deg, I = 19; 32.83 deg, I = 65; 35.54 deg, I = 100; 40.49 deg, I = 41; 42.79 deg, I = 27; 47.12 deg, I = 34; 60.39 deg, I = 15; 63.83 deg, I = 29; 65.51 deg, I = 25; 79.94 deg, I = 14

```
TbY2In3AgIr2
1.0
3.8568 0.0000 0.0000
0.0000 6.6816 3.8599
0.0000 -6.6816 3.8599
Tb Y In Ag Ir
1 2 3 1 2
Direct
0.0000 0.0000 0.0000 Tb
0.0000 0.4129 0.8256 Y
0.0000 0.8256 0.4129 Y
0.5000 0.1449 0.4129 In
0.5000 0.4129 0.1449 In
0.5000 0.6808 0.6808 In
0.0000 0.4129 0.4129 Ag
0.5000 0.0795 0.7464 Ir
0.5000 0.7464 0.0795 Ir
```

=====

[2]
Calculated PXRD pattern
Compound: KRbIn4Ag2
Radiation: Cu Kα X-rays
Structure: a PBE-relaxed structure

Main lines, sorted by position (10° ≤ 2θ ≤ 90°):
14.34 deg, I = 100; 28.58 deg, I = 67; 29.41 deg, I = 63; 30.59 deg, I = 48; 30.90 deg, I = 40; 36.02 deg, I = 44; 37.54 deg, I = 52; 38.33 deg, I = 89; 49.41 deg, I = 38; 63.73 deg, I = 29

```
KRbIn4Ag2
1.0
8.2807 0.0000 0.0000
0.0000 2.3959 6.1767
0.0000 -2.3959 6.1767
K Rb In Ag
1 1 4 2
Direct
0.0000 0.0000 0.0000 K
0.5000 0.0921 0.0921 Rb
0.1886 0.7151 0.7151 In
0.3070 0.3790 0.3790 In
0.6930 0.3790 0.3790 In
0.8114 0.7151 0.7151 In
0.0000 0.2727 0.2727 Ag
0.5000 0.8184 0.8184 Ag
```

=====

[3]
Calculated PXRD pattern
Compound: KRbInAg3
Radiation: Cu Kα X-rays
Structure: a PBE-relaxed structure

Main lines, sorted by position (10° ≤ 2θ ≤ 90°):
16.29 deg, I = 60; 18.16 deg, I = 74; 28.01 deg, I = 100; 31.24 deg, I = 40; 32.44 deg, I = 65; 32.70 deg, I = 31; 32.92 deg, I = 69; 35.41 deg, I = 38; 39.27 deg, I = 32; 42.67 deg, I = 66

```
KRbInAg3
1.0
5.7269 0.0000 0.0000
0.0000 6.6886 0.0000
0.0000 0.0000 9.3578
K Rb In Ag
2 2 2 6
Direct
0.2500 0.0000 0.1388 K
0.7500 0.0000 0.8612 K
0.2500 0.5000 0.3742 Rb
0.7500 0.5000 0.6258 Rb
0.2500 0.0000 0.5745 In
0.7500 0.0000 0.4255 In
0.0000 0.5000 0.0000 Ag
0.2500 0.2837 0.7898 Ag
0.2500 0.7163 0.7898 Ag
0.5000 0.5000 0.0000 Ag
0.7500 0.2837 0.2102 Ag
0.7500 0.7163 0.2102 Ag
```

=====

[4]
Calculated PXRD pattern
Compound: KRbInAg3
Radiation: Cu Kα X-rays
Structure: a PBE-relaxed structure

Main lines, sorted by position (10° ≤ 2θ ≤ 90°):
16.27 deg, I = 65; 18.15 deg, I = 75; 28.03 deg, I = 100; 31.13 deg, I = 42; 32.31 deg, I = 66; 32.87 deg, I = 80; 36.50 deg, I = 38; 36.78 deg, I = 29; 39.22 deg, I = 34; 57.94 deg, I = 33

```
KRbInAg3
1.0
5.7459 0.0000 0.0000
0.0000 6.7263 0.0000
0.0000 0.0000 9.2952
K Rb In Ag
2 2 2 6
Direct
0.2500 0.0000 0.1260 K
0.7500 0.0000 0.8740 K
0.2500 0.5000 0.3601 Rb
0.7500 0.5000 0.6399 Rb
0.2500 0.5000 0.9283 In
0.7500 0.5000 0.0717 In
0.0000 0.0000 0.5000 Ag
0.2500 0.2085 0.7180 Ag
0.2500 0.7915 0.7180 Ag
0.5000 0.0000 0.5000 Ag
0.7500 0.2085 0.2820 Ag
0.7500 0.7915 0.2820 Ag
```

=====

[5]
Calculated PXRD pattern
Compound: La2In3Ag
Radiation: Cu Kα X-rays
Structure: a PBE-relaxed structure

Main lines, sorted by position (10° ≤ 2θ ≤ 90°):
31.27 deg, I = 100; 35.91 deg, I = 73; 47.75 deg, I = 11; 48.35 deg, I = 29; 61.17 deg, I = 30; 61.67 deg, I = 27; 64.55 deg, I = 12; 76.14 deg, I = 8; 84.14 deg, I = 12; 84.59 deg, I = 11

```
La2In3Ag
1.0
3.8094 0.0000 0.0000
0.0000 5.0027 0.0000
0.0000 0.0000 8.6592
La In Ag
2 3 1
Direct
0.0000 0.0000 0.0000 La
0.0000 0.5000 0.4954 La
0.5000 0.0000 0.6555 In
0.5000 0.5000 0.1720 In
0.5000 0.5000 0.8326 In
0.5000 0.0000 0.3272 Ag
```

=====

[6]
Calculated PXRD pattern
Compound: LaNd2In3AgPd2
Radiation: Cu Kα X-rays
Structure: a PBE-relaxed structure

Main lines, sorted by position (10° ≤ 2θ ≤ 90°):
31.70 deg, I = 98; 34.38 deg, I = 100; 34.73 deg, I = 34; 34.82 deg, I = 16; 39.55 deg, I = 25; 41.49 deg, I = 17; 44.83 deg, I = 26; 57.94 deg, I = 22; 61.33 deg, I = 20; 63.77 deg, I = 23

```
LaNd2In3AgPd2
1.0
4.0433 0.0000 0.0000
0.0000 6.8144 3.9504
0.0000 -6.8144 3.9504
La Nd In Ag Pd
1 2 3 1 2
Direct
0.0000 0.0000 0.0000 La
0.0000 0.4156 0.8278 Nd
0.0000 0.8278 0.4156 Nd
0.5000 0.1553 0.4184 In
0.5000 0.4184 0.1553 In
0.5000 0.6707 0.6707 In
0.0000 0.4141 0.4141 Ag
0.5000 0.0817 0.7499 Pd
0.5000 0.7499 0.0817 Pd
```